This entry pairs a crystal structure of KPmV2O8 with its theoretical X-ray powder pattern. Radiation: a wavelength of 1.5418 Å. Structure: a PBE+U-relaxed structure.
Intensities are scaled so that the largest is 100.

Main lines, in order of rising 2θ (10° ≤ 2θ ≤ 80°):
2θ 11.4, d = 7.793 Å, I = 18, (0 0 1); 2θ 17.2, d = 5.168 Å, I = 40, (1 0 0); 2θ 20.6, d = 4.307 Å, I = 100, (1 0 1); 2θ 28.7, d = 3.111 Å, I = 60, (1 0 2); 2θ 29.9, d = 2.984 Å, I = 50, (1 1 0); 2θ 42.0, d = 2.154 Å, I = 33, (2 0 2); 2θ 48.0, d = 1.895 Å, I = 19, (2 1 1); 2θ 52.4, d = 1.746 Å, I = 20, (1 2 2); 2θ 56.4, d = 1.631 Å, I = 17, (1 1 4); 2θ 62.2, d = 1.492 Å, I = 15, (2 2 0)

Structural model:
```
data_KPmV2O8
_cell_length_a 5.9675
_cell_length_b 5.9675
_cell_length_c 7.7933
_cell_angle_alpha 90.00
_cell_angle_beta 90.00
_cell_angle_gamma 120.00
_space_group_name_H-M_alt 'P -3 m 1'
_space_group_IT_number 164
_space_group_name_Hall '-P 3 2"'
loop_
_atom_site_label
_atom_site_type_symbol
_atom_site_fract_x
_atom_site_fract_y
_atom_site_fract_z
K1 K 0.0000 0.0000 0.0000
Pm1 Pm 0.0000 0.0000 0.5000
V1 V 0.3333 0.6667 0.2364
O1 O 0.1736 0.3471 0.3086
O2 O 0.3333 0.6667 0.0159
```